The following is a computed powder XRD pattern of Ba4Si3Br2. It was derived from a structure optimized by DFT (PBE), using a wavelength of 1.5418 Å.
No peak broadening, texture or thermal motion is included.

Crystal structure
```
data_Ba4Si3Br2
_chemical_formula_sum 'Ba16 Si12 Br8'
_cell_length_a 15.256
_cell_length_b 8.971
_cell_length_c 8.905
_cell_angle_alpha 90.00
_cell_angle_beta 101.94
_cell_angle_gamma 90.00
_symmetry_space_group_name_H-M 'P 1 21/c 1'
_symmetry_Int_Tables_number 14
loop_
_symmetry_equiv_pos_as_xyz
'x,y,z'
'-x,-y,-z'
'-x,y+1/2,-z+1/2'
'x,-y+1/2,z+1/2'
loop_
_atom_site_label
_atom_site_fract_x
_atom_site_fract_y
_atom_site_fract_z
Ba1 0.045 0.211 0.021
Ba2 0.146 0.562 0.871
Ba3 0.331 0.662 0.266
Ba4 0.346 0.178 0.118
Si1 0.088 0.565 0.239
Si2 0.185 0.568 0.492
Si3 0.198 0.130 0.803
Br1 0.363 0.507 0.946
Br2 0.493 0.641 0.634
```

Main lines, sorted by position (2θ = 5–70°):
2theta  d [Å]  intensity  hkl
27.3  3.266  36.6  3 2 -1
28.3  3.154  75.9  1 2 -2
29.8  2.995  97.2  4 1 -2
30.0  2.977  88.1  3 2 1
31.6  2.830  100.0  0 3 1
31.8  2.817  87.9  1 1 -3